Theoretical powder diffractogram of LiMg2BiB for a wavelength of 1.5418 Å, from a crystal structure in Alexandria, relaxed with GGA-PBE.
Neutral-atom scattering factors, no anomalous dispersion.

Largest 8 diffraction maxima, by angle, 2θ from 5° to 70°:
| d (Å) | 2θ/deg | I (rel.) |
| --- | --- | --- |
| 4.617 | 19.22 | 925 |
| 3.264 | 27.32 | 1000 |
| 2.665 | 33.62 | 660 |
| 2.308 | 39.02 | 374 |
| 2.065 | 43.85 | 492 |
| 1.885 | 48.29 | 434 |
| 1.632 | 56.37 | 257 |
| 1.392 | 67.26 | 276 |

Crystal structure
```
data_LiMg2BiB
_space_group_name_H-M_alt 'P 4/m m m'
_space_group_IT_number 123
_space_group_name_Hall '-P 4 2'
_cell_length_a 4.6179
_cell_length_b 4.6179
_cell_length_c 4.6145
_cell_angle_alpha 90.00
_cell_angle_beta 90.00
_cell_angle_gamma 90.00
loop_
_atom_site_label
_atom_site_type_symbol
_atom_site_fract_x
_atom_site_fract_y
_atom_site_fract_z
Li1 Li 0.0000 0.0000 0.0000
Mg1 Mg 0.0000 0.5000 0.5000
Bi1 Bi 0.5000 0.5000 0.0000
B1 B 0.0000 0.0000 0.5000
```